No. 1
The following is a theoretical powder XRD pattern of SrTiCu4P4O17. It was derived from a structure optimized by DFT (PBE), using a wavelength of 1.5418 Å.
Neutral-atom scattering factors, no anomalous dispersion.

Crystal structure
abc: 9.6381 9.6381 7.1381
angles: 90.00 90.00 90.00
Fractional positions:
Sr: 0.0000 0.0000 0.0000
Sr: 0.5000 0.5000 0.0000
Ti: 0.0000 0.5000 0.0176
Ti: 0.5000 0.0000 0.9824
Cu: 0.0179 0.2680 0.6011
Cu: 0.2320 0.5179 0.6011
Cu: 0.2680 0.0179 0.3989
Cu: 0.4821 0.7680 0.3989
Cu: 0.5179 0.2320 0.3989
Cu: 0.7320 0.9821 0.3989
Cu: 0.7680 0.4821 0.6011
Cu: 0.9821 0.7320 0.6011
P: 0.1862 0.7251 0.2572
P: 0.2251 0.3138 0.2572
P: 0.2749 0.8138 0.7428
P: 0.3138 0.2251 0.7428
P: 0.6862 0.7749 0.7428
P: 0.7251 0.1862 0.7428
P: 0.7749 0.6862 0.2572
P: 0.8138 0.2749 0.2572
O: 0.0000 0.5000 0.7773
O: 0.1005 0.6693 0.0915
O: 0.1166 0.8439 0.7388
O: 0.1329 0.6572 0.4458
O: 0.1561 0.8834 0.2612
O: 0.1572 0.3671 0.4458
O: 0.1592 0.1849 0.7640
O: 0.1693 0.3995 0.0915
O: 0.1849 0.1592 0.2360
O: 0.3151 0.6592 0.7640
O: 0.3307 0.8995 0.9085
O: 0.3408 0.6849 0.2360
O: 0.3428 0.8671 0.5542
O: 0.3439 0.3834 0.7388
O: 0.3671 0.1572 0.5542
O: 0.3834 0.3439 0.2612
O: 0.3995 0.1693 0.9085
O: 0.5000 0.0000 0.2227
O: 0.6005 0.8307 0.9085
O: 0.6166 0.6561 0.2612
O: 0.6329 0.8428 0.5542
O: 0.6561 0.6166 0.7388
O: 0.6572 0.1329 0.5542
O: 0.6592 0.3151 0.2360
O: 0.6693 0.1005 0.9085
O: 0.6849 0.3408 0.7640
O: 0.8151 0.8408 0.2360
O: 0.8307 0.6005 0.0915
O: 0.8408 0.8151 0.7640
O: 0.8428 0.6329 0.4458
O: 0.8439 0.1166 0.2612
O: 0.8671 0.3428 0.4458
O: 0.8834 0.1561 0.7388
O: 0.8995 0.3307 0.0915

Principal peaks in the range 2θ from 10° to 90°, low angle first:
2θ/deg	I (rel.)	(hkl)
22.26	39	2 0 1
26.63	29	1 0 2
29.04	100	2 2 1
30.51	33	3 0 1
31.18	46	2 0 2
35.87	23	3 2 1
38.86	19	3 1 2
42.24	20	3 2 2
58.37	23	2 2 4
62.30	20	6 2 1


No. 2
The following is a theoretical powder XRD pattern of Hf3TcPd2. It was derived from a structure optimized by DFT (PBE), using a wavelength of 1.5418 Å.
Neutral-atom scattering factors, no anomalous dispersion.

Crystal structure
abc: 3.2689 3.2689 10.1283
angles: 90.00 90.00 90.00
Fractional positions:
Hf: 0.0000 0.0000 0.0000
Hf: 0.0000 0.0000 0.3442
Hf: 0.0000 0.0000 0.6558
Tc: 0.5000 0.5000 0.5000
Pd: 0.5000 0.5000 0.1727
Pd: 0.5000 0.5000 0.8273

Principal peaks in the range 2θ from 10° to 90°, low angle first:
2θ/deg	I (rel.)	(hkl)
26.40	4	0 0 3
27.28	7	1 0 0
38.33	100	1 0 3
38.97	49	1 1 0
54.35	9	0 0 6
56.29	17	2 0 0
68.88	17	1 1 6
70.15	34	2 1 3
82.07	10	2 0 6
83.68	5	2 2 0


No. 3
The following is a theoretical powder XRD pattern of TaRe4B2. It was derived from a structure optimized by DFT (PBE), using a wavelength of 1.5418 Å.
Neutral-atom scattering factors, no anomalous dispersion.

Crystal structure
abc: 3.8279 12.7915 3.8027
angles: 90.00 90.00 90.00
Fractional positions:
Ta: 0.0000 0.0000 0.0000
Ta: 0.5000 0.5000 0.0000
Re: 0.0000 0.1714 0.5000
Re: 0.0000 0.3232 0.0000
Re: 0.0000 0.6768 0.0000
Re: 0.0000 0.8286 0.5000
Re: 0.5000 0.1768 0.0000
Re: 0.5000 0.3286 0.5000
Re: 0.5000 0.6714 0.5000
Re: 0.5000 0.8232 0.0000
B: 0.0000 0.4298 0.5000
B: 0.0000 0.5702 0.5000
B: 0.5000 0.0702 0.5000
B: 0.5000 0.9298 0.5000

Principal peaks in the range 2θ from 10° to 90°, low angle first:
2θ/deg	I (rel.)	(hkl)
13.85	21	0 2 0
39.53	100	1 3 1
42.40	19	0 6 0
47.51	16	2 0 0
47.84	15	0 0 2
65.82	11	0 6 2
75.63	13	1 9 1
82.97	12	3 3 1
83.47	12	1 3 3
85.11	11	2 6 2